1.
Structure and simulated PXRD pattern of Zr3FeF6 (a DFT-relaxed cell (PBE+U, the Materials Project); Cu Kα (weighted mean of Kα1 and Kα2)).
Kinematic intensities with the Lorentz-polarization factor, no thermal factor.

Structure:
```
Zr3FeF6
1.0
6.3925 0.0000 0.0000
3.1864 5.8900 0.0000
0.7561 0.0626 12.6764
Zr Fe F
3 1 6
direct
0.0000 0.0000 0.0000 Zr
0.0000 0.5000 0.5000 Zr
0.5000 0.0000 0.0000 Zr
0.0000 0.5000 0.0000 Fe
0.0747 0.4966 0.3477 F
0.0895 0.7187 0.0906 F
0.3091 0.2859 0.0870 F
0.6909 0.7141 0.9130 F
0.9105 0.2813 0.9094 F
0.9253 0.5034 0.6523 F
```

Top 8 peaks for 5 to 70 degrees two-theta, in order of rising 2θ:
d 12.676, 2θ = 7.0°, rel. 100.0; d 6.338, 2θ = 14.0°, rel. 74.3; d 5.611, 2θ = 15.8°, rel. 38.1; d 5.342, 2θ = 16.6°, rel. 40.3; d 4.096, 2θ = 21.7°, rel. 14.2; d 3.139, 2θ = 28.4°, rel. 12.0; d 2.805, 2θ = 31.9°, rel. 18.4; d 2.618, 2θ = 34.3°, rel. 18.5



2.
Structure and simulated PXRD pattern of Zr2Fe2F3 (a DFT-relaxed cell (PBE+U, the Materials Project); Cu Kα (weighted mean of Kα1 and Kα2)).
Kinematic intensities with the Lorentz-polarization factor, no thermal factor.

Structure:
```
Zr2Fe2F3
1.0
5.5309 -5.8953 0.0000
5.5309 5.8953 0.0000
-1.2189 0.0000 4.0534
Zr Fe F
4 4 6
direct
0.0000 0.0000 0.0000 Zr
0.0279 0.6068 0.4561 Zr
0.6068 0.0279 0.4561 Zr
0.6517 0.6517 0.9658 Zr
0.3143 0.7892 0.9758 Fe
0.3603 0.3603 0.6245 Fe
0.7892 0.3143 0.9758 Fe
0.8660 0.8660 0.4077 Fe
0.2004 0.2004 0.2142 F
0.2290 0.6070 0.2238 F
0.4106 0.9562 0.6663 F
0.5968 0.5968 0.4309 F
0.6070 0.2290 0.2238 F
0.9562 0.4106 0.6663 F
```

Top 8 peaks for 5 to 70 degrees two-theta, in order of rising 2θ:
d 7.880, 2θ = 11.2°, rel. 62.3; d 3.788, 2θ = 23.5°, rel. 88.5; d 2.948, 2θ = 30.3°, rel. 100.0; d 2.874, 2θ = 31.1°, rel. 37.3; d 2.847, 2θ = 31.4°, rel. 69.5; d 2.627, 2θ = 34.1°, rel. 48.5; d 2.326, 2θ = 38.7°, rel. 36.5; d 1.803, 2θ = 50.6°, rel. 35.8



3.
Structure and simulated PXRD pattern of Zr3FeF6 (a DFT-relaxed cell (PBE+U, the Materials Project); Cu Kα (weighted mean of Kα1 and Kα2)).
Kinematic intensities with the Lorentz-polarization factor, no thermal factor.

Structure:
```
Zr3FeF6
1.0
5.8420 0.0000 0.0000
2.8454 7.0679 0.0000
0.4247 0.2158 8.0916
Zr Fe F
3 1 6
direct
0.0000 0.0000 0.0000 Zr
0.0000 0.5000 0.5000 Zr
0.5000 0.0000 0.0000 Zr
0.0000 0.5000 0.0000 Fe
0.0212 0.5315 0.2525 F
0.1427 0.7163 0.9630 F
0.3460 0.2890 0.0007 F
0.6540 0.7110 0.9993 F
0.8573 0.2837 0.0370 F
0.9788 0.4685 0.7475 F
```

Top 8 peaks for 5 to 70 degrees two-theta, in order of rising 2θ:
d 8.092, 2θ = 10.9°, rel. 100.0; d 5.404, 2θ = 16.4°, rel. 58.0; d 5.369, 2θ = 16.5°, rel. 27.2; d 5.253, 2θ = 16.9°, rel. 28.4; d 4.046, 2θ = 22.0°, rel. 52.1; d 3.533, 2θ = 25.2°, rel. 23.9; d 2.708, 2θ = 33.1°, rel. 17.6; d 2.698, 2θ = 33.2°, rel. 23.7



4.
Structure and simulated PXRD pattern of Zr3FeF6 (a DFT-relaxed cell (PBE+U, the Materials Project); Cu Kα (weighted mean of Kα1 and Kα2)).
Kinematic intensities with the Lorentz-polarization factor, no thermal factor.

Structure:
```
Zr3FeF6
1.0
5.9403 0.0000 0.0000
-2.8952 5.3130 0.0000
-0.4099 -2.4200 11.2856
Zr Fe F
3 1 6
direct
0.0000 0.0000 0.0000 Zr
0.0000 0.0000 0.5000 Zr
0.5000 0.0000 0.0000 Zr
0.0000 0.5000 0.0000 Fe
0.0126 0.7997 0.3495 F
0.1544 0.3784 0.1113 F
0.2970 0.0405 0.1376 F
0.7030 0.9595 0.8624 F
0.8456 0.6216 0.8887 F
0.9874 0.2003 0.6505 F
```

Top 8 peaks for 5 to 70 degrees two-theta, in order of rising 2θ:
d 11.286, 2θ = 7.8°, rel. 100.0; d 5.643, 2θ = 15.7°, rel. 67.2; d 5.184, 2θ = 17.1°, rel. 52.5; d 4.815, 2θ = 18.4°, rel. 16.1; d 4.297, 2θ = 20.7°, rel. 26.1; d 4.093, 2θ = 21.7°, rel. 13.6; d 2.595, 2θ = 34.6°, rel. 19.0; d 2.572, 2θ = 34.9°, rel. 14.5



5.
Structure and simulated PXRD pattern of Zr2Fe2F3 (a DFT-relaxed cell (PBE+U, the Materials Project); Cu Kα (weighted mean of Kα1 and Kα2)).
Kinematic intensities with the Lorentz-polarization factor, no thermal factor.

Structure:
```
Zr2Fe2F3
1.0
5.1908 -4.1167 0.0000
5.1908 4.1167 0.0000
-1.4030 0.0000 5.6027
Zr Fe F
4 4 6
direct
0.0000 0.0000 0.0000 Zr
0.2121 0.5747 0.3220 Zr
0.5747 0.2121 0.3220 Zr
0.6024 0.6024 0.9680 Zr
0.2858 0.9321 0.6401 Fe
0.6361 0.6361 0.4671 Fe
0.9042 0.9042 0.4213 Fe
0.9321 0.2858 0.6401 Fe
0.1314 0.4449 0.5851 F
0.2221 0.2221 0.1476 F
0.2377 0.6580 0.9848 F
0.4449 0.1314 0.5851 F
0.6580 0.2377 0.9848 F
0.7870 0.7870 0.8427 F
```

Top 8 peaks for 5 to 70 degrees two-theta, in order of rising 2θ:
d 3.361, 2θ = 26.5°, rel. 99.6; d 2.974, 2θ = 30.1°, rel. 48.2; d 2.748, 2θ = 32.6°, rel. 70.9; d 2.723, 2θ = 32.9°, rel. 51.3; d 2.648, 2θ = 33.9°, rel. 100.0; d 2.337, 2θ = 38.5°, rel. 60.0; d 2.316, 2θ = 38.9°, rel. 44.6; d 2.125, 2θ = 42.5°, rel. 70.8



6.
Structure and simulated PXRD pattern of LiMnGaF6 (a DFT-relaxed cell (PBE+U, the Materials Project); Cu Kα (weighted mean of Kα1 and Kα2)).
Kinematic intensities with the Lorentz-polarization factor, no thermal factor.

Structure:
```
LiMnGaF6
1.0
8.8177 0.0000 0.0000
-4.4088 7.6364 0.0000
0.0000 0.0000 4.7960
Li Mn Ga F
3 3 3 18
direct
0.0000 0.2984 0.0000 Li
0.2984 0.0000 0.0000 Li
0.7016 0.7016 0.0000 Li
0.0000 0.6394 0.5000 Mn
0.3606 0.3606 0.5000 Mn
0.6394 0.0000 0.5000 Mn
0.0000 0.0000 0.5000 Ga
0.3333 0.6667 0.0031 Ga
0.6667 0.3333 0.9969 Ga
0.0990 0.8889 0.2779 F
0.1111 0.2102 0.2779 F
0.1255 0.5465 0.2289 F
0.2102 0.1111 0.7221 F
0.2236 0.7671 0.7819 F
0.2329 0.4565 0.7819 F
0.4210 0.8745 0.2289 F
0.4535 0.5790 0.2289 F
0.4565 0.2329 0.2181 F
0.5435 0.7764 0.7819 F
0.5465 0.1255 0.7711 F
0.5790 0.4535 0.7711 F
0.7671 0.2236 0.2181 F
0.7764 0.5435 0.2181 F
0.7898 0.9010 0.2779 F
0.8745 0.4210 0.7711 F
0.8889 0.0990 0.7221 F
0.9010 0.7898 0.7221 F
```

Top 8 peaks for 5 to 70 degrees two-theta, in order of rising 2θ:
d 4.409, 2θ = 20.1°, rel. 90.8; d 4.061, 2θ = 21.9°, rel. 87.7; d 3.246, 2θ = 27.5°, rel. 100.0; d 2.987, 2θ = 29.9°, rel. 57.8; d 2.473, 2θ = 36.3°, rel. 39.2; d 2.248, 2θ = 40.1°, rel. 66.5; d 1.745, 2θ = 52.4°, rel. 95.3; d 1.470, 2θ = 63.3°, rel. 36.4



7.
Structure and simulated PXRD pattern of Sr2MnGaO5F (a DFT-relaxed cell (PBE+U, the Materials Project); Cu Kα (weighted mean of Kα1 and Kα2)).
Kinematic intensities with the Lorentz-polarization factor, no thermal factor.

Structure:
```
Sr2MnGaO5F
1.0
3.8823 0.0000 0.0000
0.0000 4.0204 0.0000
0.0000 0.0000 7.7932
Sr Mn Ga O F
2 1 1 5 1
direct
0.0000 0.0000 0.2362 Sr
0.0000 0.0000 0.7638 Sr
0.5000 0.5000 0.0000 Mn
0.5000 0.5000 0.5000 Ga
0.0000 0.5000 0.0000 O
0.0000 0.5000 0.5000 O
0.5000 0.0000 0.0000 O
0.5000 0.5000 0.2488 O
0.5000 0.5000 0.7512 O
0.5000 0.0000 0.5000 F
```

Top 8 peaks for 5 to 70 degrees two-theta, in order of rising 2θ:
d 2.795, 2θ = 32.0°, rel. 100.0; d 2.750, 2θ = 32.6°, rel. 49.6; d 2.010, 2θ = 45.1°, rel. 21.3; d 1.948, 2θ = 46.6°, rel. 18.1; d 1.941, 2θ = 46.8°, rel. 18.9; d 1.623, 2θ = 56.7°, rel. 20.3; d 1.598, 2θ = 57.7°, rel. 17.4; d 1.595, 2θ = 57.8°, rel. 18.3



8.
Structure and simulated PXRD pattern of GdMoO4F (a DFT-relaxed cell (PBE+U, the Materials Project); Cu Kα (weighted mean of Kα1 and Kα2)).
Kinematic intensities with the Lorentz-polarization factor, no thermal factor.

Structure:
```
GdMoO4F
1.0
5.3228 0.0000 0.0000
0.0000 12.5685 0.0000
-2.6611 0.0000 6.2803
Gd Mo O F
4 4 16 4
direct
0.1385 0.0524 0.2994 Gd
0.1385 0.4476 0.7994 Gd
0.8615 0.5524 0.2006 Gd
0.8615 0.9476 0.7006 Gd
0.4221 0.1431 0.8698 Mo
0.4221 0.3569 0.3698 Mo
0.5779 0.6431 0.6302 Mo
0.5779 0.8569 0.1302 Mo
0.1942 0.0658 0.9606 O
0.1942 0.4342 0.4606 O
0.2641 0.6532 0.4106 O
0.2641 0.8468 0.9106 O
0.3074 0.2246 0.2941 O
0.3074 0.2754 0.7941 O
0.4941 0.0694 0.6643 O
0.4941 0.4306 0.1643 O
0.5059 0.5694 0.8357 O
0.5059 0.9306 0.3357 O
0.6926 0.7246 0.2059 O
0.6926 0.7754 0.7059 O
0.7359 0.1532 0.0894 O
0.7359 0.3468 0.5894 O
0.8058 0.5658 0.5394 O
0.8058 0.9342 0.0394 O
0.0491 0.5981 0.9649 F
0.0491 0.9019 0.4649 F
0.9509 0.0981 0.5351 F
0.9509 0.4019 0.0351 F
```

Top 8 peaks for 5 to 70 degrees two-theta, in order of rising 2θ:
d 6.284, 2θ = 14.1°, rel. 45.8; d 3.865, 2θ = 23.0°, rel. 61.2; d 3.291, 2θ = 27.1°, rel. 30.6; d 3.184, 2θ = 28.0°, rel. 100.0; d 2.915, 2θ = 30.7°, rel. 33.1; d 2.810, 2θ = 31.8°, rel. 27.7; d 1.755, 2θ = 52.1°, rel. 28.0; d 1.685, 2θ = 54.4°, rel. 32.3